Record 1
This entry pairs a crystal structure of TlHgAsS3 with its computed PXRD pattern. Radiation: Cu Kα (weighted mean of Kα1 and Kα2). Structure: a crystal structure in the Materials Project, relaxed with GGA-PBE.

Principal peaks in the range 2θ from 10° to 90°, sorted by position:
d [Å]	Rel. int.	h k l
4.685	68	2 1 1
3.259	100	2 2 2
2.918	32	4 0 0
2.619	25	3 0 3
2.124	21	5 2 1
2.063	20	4 4 0
1.966	22	4 0 4
1.949	17	6 0 0
1.743	26	6 2 2
1.734	17	5 1 4

Cell and atoms:
Lattice parameters (Å, degrees): 11.6729 11.6729 10.6263 90.00 90.00 90.00
Space group I-42m (No. 121)
Unique sites:
Tl1 0.0000 0.0000 0.1576 [4 per cell]
Tl2 0.0000 0.5000 0.2500 [4 per cell]
Hg1 0.0000 0.2767 0.5000 [8 per cell]
As1 0.2482 0.2482 0.2707 [8 per cell]
S1 0.1224 0.3245 0.9092 [16 per cell]
S2 0.1300 0.1300 0.6564 [8 per cell]

Record 2
This entry pairs a crystal structure of HoAs3 with its computed PXRD pattern. Radiation: Cu Kα (weighted mean of Kα1 and Kα2). Structure: a crystal structure in the Materials Project, relaxed with GGA-PBE.

Principal peaks in the range 2θ from 10° to 90°, sorted by position:
d [Å]	Rel. int.	h k l
5.187	14	1 0 0
3.762	11	1 0 1
2.733	36	0 0 2
2.593	22	2 0 0
2.343	100	2 0 1
1.881	17	2 0 2
1.497	15	2 2 0
1.491	24	2 0 3
1.313	20	2 2 2
1.262	13	4 0 1

Cell and atoms:
Lattice parameters (Å, degrees): 5.9889 5.9889 5.4663 90.00 90.00 120.00
Space group P6_3/mmc (No. 194)
Unique sites:
Ho1 0.3333 0.6667 0.2500 [2 per cell]
As1 0.1802 0.3604 0.7500 [6 per cell]

Record 3
This entry pairs a crystal structure of HoNi4As2 with its computed PXRD pattern. Radiation: Cu Kα (weighted mean of Kα1 and Kα2). Structure: a crystal structure in the Materials Project, relaxed with GGA-PBE.

Principal peaks in the range 2θ from 10° to 90°, sorted by position:
d [Å]	Rel. int.	h k l
3.349	15	1 0 1
2.555	26	2 2 0
2.456	100	2 1 1
2.285	39	3 1 0
2.117	28	2 2 1
1.956	44	3 1 1
1.890	27	0 0 2
1.753	15	4 1 0
1.456	18	3 1 2
1.350	21	4 3 1

Cell and atoms:
Lattice parameters (Å, degrees): 7.2266 7.2266 3.7793 90.00 90.00 90.00
Space group P4_2/mnm (No. 136)
Unique sites:
Ho1 0.0000 0.0000 0.0000 [2 per cell]
Ni1 0.0892 0.3462 0.5000 [8 per cell]
As1 0.2171 0.7829 0.5000 [4 per cell]

Record 4
This entry pairs a crystal structure of Ho2NiAs2 with its computed PXRD pattern. Radiation: Cu Kα (weighted mean of Kα1 and Kα2). Structure: a crystal structure in the Materials Project, relaxed with GGA-PBE.

Principal peaks in the range 2θ from 10° to 90°, sorted by position:
d [Å]	Rel. int.	h k l
3.442	29	1 0 1
2.833	100	1 0 3
2.503	58	1 0 4
2.210	27	1 0 5
2.049	69	1 1 0
1.765	13	0 0 8
1.660	20	2 0 3
1.585	14	2 0 4
1.337	31	1 1 8
1.290	18	2 1 3

Cell and atoms:
Lattice parameters (Å, degrees): 4.0977 4.0977 14.1182 90.00 90.00 120.00
Space group P6_3/mmc (No. 194)
Unique sites:
Ho1 0.3333 0.6667 0.1176 [4 per cell]
Ni1 0.0000 0.0000 0.2500 [2 per cell]
As1 0.0000 0.0000 0.0000 [2 per cell]
As2 0.3333 0.6667 0.7500 [2 per cell]

Record 5
This entry pairs a crystal structure of HoAs2O2 with its computed PXRD pattern. Radiation: Cu Kα (weighted mean of Kα1 and Kα2). Structure: a crystal structure in the Materials Project, relaxed with GGA-PBE.

Principal peaks in the range 2θ from 10° to 90°, sorted by position:
d [Å]	Rel. int.	h k l
8.471	100	1 0 1
5.437	7	2 0 0
4.235	6	2 0 2
4.161	18	1 0 3
3.844	12	2 2 0
3.377	11	0 0 4
2.943	17	3 2 1
2.588	13	4 1 1
2.288	22	4 2 2
1.652	9	4 2 6

Cell and atoms:
Lattice parameters (Å, degrees): 10.8735 10.8735 13.5098 90.00 90.00 90.00
Space group I4_1/amd (No. 141, origin choice 2)
Unique sites:
Ho1 0.0000 0.0000 0.0000 [8 per cell]
As1 0.0000 0.1318 0.7355 [16 per cell]
O1 0.0000 0.0484 0.8487 [16 per cell]

Record 6
This entry pairs a crystal structure of HoAsPd with its computed PXRD pattern. Radiation: Cu Kα (weighted mean of Kα1 and Kα2). Structure: a crystal structure in the Materials Project, relaxed with GGA-PBE.

Principal peaks in the range 2θ from 10° to 90°, sorted by position:
d [Å]	Rel. int.	h k l
2.680	40	2 1 0
2.654	66	1 1 2
2.637	24	2 0 2
2.540	100	2 1 1
2.482	33	1 0 3
2.231	45	0 1 3
2.065	40	0 2 0
2.023	18	3 0 2
1.587	22	1 2 3
1.425	22	3 1 4

Cell and atoms:
Lattice parameters (Å, degrees): 7.0471 4.1290 7.9548 90.00 90.00 90.00
Space group Pnma (No. 62)
Unique sites:
Ho1 0.0311 0.2500 0.1911 [4 per cell]
As1 0.2485 0.2500 0.8790 [4 per cell]
Pd1 0.1429 0.2500 0.5623 [4 per cell]

Record 7
This entry pairs a crystal structure of HoAsPt with its computed PXRD pattern. Radiation: Cu Kα (weighted mean of Kα1 and Kα2). Structure: a crystal structure in the Materials Project, relaxed with GGA-PBE.

Principal peaks in the range 2θ from 10° to 90°, sorted by position:
d [Å]	Rel. int.	h k l
3.601	16	1 0 1
2.678	100	1 0 4
2.378	11	1 0 5
2.137	57	1 1 0
1.939	12	0 0 8
1.670	25	2 0 4
1.436	28	1 1 8
1.316	22	2 1 4
1.234	10	3 0 0
1.221	7	1 0 12

Cell and atoms:
Lattice parameters (Å, degrees): 4.2744 4.2744 15.5140 90.00 90.00 120.00
Space group P6_3/mmc (No. 194)
Unique sites:
Ho1 0.0000 0.0000 0.0000 [2 per cell]
Ho2 0.0000 0.0000 0.2500 [2 per cell]
As1 0.3333 0.6667 0.1161 [4 per cell]
Pt1 0.3333 0.6667 0.6353 [4 per cell]

Record 8
This entry pairs a crystal structure of AsI3 with its computed PXRD pattern. Radiation: Cu Kα (weighted mean of Kα1 and Kα2). Structure: a crystal structure in the Materials Project, relaxed with GGA-PBE.

Principal peaks in the range 2θ from 10° to 90°, sorted by position:
d [Å]	Rel. int.	h k l
7.469	16	0 0 3
5.577	11	0 1 2
3.735	20	0 0 6
3.324	100	1 1 3
2.633	35	1 1 6
2.143	25	3 0 0
2.068	26	2 -1 9
1.859	14	0 3 6
1.801	14	4 -2 3
1.379	9	1 4 3

Cell and atoms:
Lattice parameters (Å, degrees): 7.4248 7.4248 22.4074 90.00 90.00 120.00
Space group R-3 (No. 148, hexagonal axes)
Unique sites:
As1 0.0000 0.0000 0.1803 [6 per cell]
I1 0.0104 0.3653 0.4232 [18 per cell]